Structure and computed powder diffractogram of CaNd2Dy4Y (a structure optimized by DFT (PBE); Cu Kα X-rays).

Cell and atoms:
Lattice parameters (Å, degrees): 9.6279 9.6279 6.8625 110.87 110.87 88.29
Atoms (fractional coordinates):
Ca 0.0000 0.0000 0.0000
Ca 0.0000 0.0000 0.5000
Nd 0.0000 0.5000 0.0000
Nd 0.5000 0.0000 0.5000
Nd 0.5000 0.5000 0.0000
Nd 0.5000 0.5000 0.5000
Dy 0.2467 0.7434 0.9971
Dy 0.2566 0.7533 0.5029
Dy 0.2638 0.2638 0.0118
Dy 0.2638 0.2638 0.5118
Dy 0.7362 0.7362 0.4882
Dy 0.7362 0.7362 0.9882
Dy 0.7434 0.2467 0.4971
Dy 0.7533 0.2566 0.0029
Y 0.0000 0.5000 0.5000
Y 0.5000 0.0000 0.0000

Peak list (10 most intense, 2θ = 5–70°, low angle first)
two_theta, I/Imax
9.9, 19
26.6, 69
29.8, 49
30.0, 100
40.4, 43
40.5, 89
53.0, 19
60.3, 25
63.7, 23
69.0, 18